For CrCuW2O8, a PBE+U-relaxed structure gives the theoretical powder diffraction line list in this record (Cu Ka).

Principal peaks in the range 10° ≤ 2θ ≤ 80°, by angle:
- 2θ 18.92, d = 4.691 Å, intensity 52.4
- 2θ 23.45, d = 3.793 Å, intensity 51.8
- 2θ 24.47, d = 3.637 Å, intensity 60.2
- 2θ 30.13, d = 2.966 Å, intensity 100.0
- 2θ 30.48, d = 2.933 Å, intensity 96.0
- 2θ 35.62, d = 2.520 Å, intensity 32.1
- 2θ 35.92, d = 2.500 Å, intensity 42.5
- 2θ 41.04, d = 2.199 Å, intensity 21.6
- 2θ 51.43, d = 1.777 Å, intensity 30.2
- 2θ 53.35, d = 1.717 Å, intensity 23.1
- 2θ 53.79, d = 1.704 Å, intensity 40.5
- 2θ 64.16, d = 1.451 Å, intensity 28.3

a b c (Å): 7.4281 7.4281 5.0415
angles (deg): 90.56 90.56 101.65
Fractional coordinates of all 24 atoms:
Cr (0.1759, 0.8241, 0.7500)
Cr (0.8241, 0.1759, 0.2500)
Cu (0.3355, 0.6645, 0.2500)
Cu (0.6645, 0.3355, 0.7500)
W (0.1632, 0.3350, 0.7556)
W (0.3350, 0.1632, 0.2556)
W (0.6650, 0.8368, 0.7444)
W (0.8368, 0.6650, 0.2444)
O (0.0636, 0.7012, 0.4143)
O (0.0763, 0.1965, 0.0807)
O (0.1846, 0.5714, 0.8916)
O (0.1965, 0.0763, 0.5807)
O (0.2988, 0.9364, 0.0857)
O (0.3058, 0.4058, 0.4400)
O (0.4058, 0.3058, 0.9400)
O (0.4286, 0.8154, 0.6084)
O (0.5714, 0.1846, 0.3916)
O (0.5942, 0.6942, 0.0600)
O (0.6942, 0.5942, 0.5600)
O (0.7012, 0.0636, 0.9143)
O (0.8035, 0.9237, 0.4193)
O (0.8154, 0.4286, 0.1084)
O (0.9237, 0.8035, 0.9193)
O (0.9364, 0.2988, 0.5857)